Pm3Dy7: theoretical powder XRD pattern (Cu Kα, 1.54184 Å), based on the PBE geometry in Alexandria.
Kinematic intensities with the Lorentz-polarization factor, no thermal factor.

Atomic structure:
a = 18.2128 Å, b = 5.0494 Å, c = 7.1607 Å
α = 90.00°, β = 101.33°, γ = 90.00°
Space group C2/m (No. 12)
Unique sites:
Pm 0.0000 0.0000 0.0000 [2 per cell]
Pm 0.1991 0.0000 0.6002 [4 per cell]
Dy 0.0000 0.0000 0.5000 [2 per cell]
Dy 0.0995 0.5000 0.2997 [4 per cell]
Dy 0.1002 0.5000 0.8007 [4 per cell]
Dy 0.1997 0.0000 0.0998 [4 per cell]

Main lines, most intense first (2θ from 10° to 90°):
| two_theta | intensity | (hkl) |
| --- | --- | --- |
| 30.64 | 100 | 5 1 0 |
| 35.52 | 51 | 4 0 2 |
| 51.13 | 30 | 10 0 0 |
| 60.75 | 29 | 9 1 2 |
| 83.37 | 15 | 15 1 0 |
| 60.83 | 14 | 5 3 0 |
| 86.02 | 8 | 14 0 2 |
| 63.73 | 6 | 2 2 -4 |


Nd2Co3: theoretical powder XRD pattern (Cu Kα, 1.54184 Å), based on the PBE geometry in Alexandria.
Kinematic intensities with the Lorentz-polarization factor, no thermal factor.

Atomic structure:
a = 4.8687 Å, b = 10.1169 Å, c = 7.6221 Å
α = 90.00°, β = 90.00°, γ = 90.00°
Space group Cmce (No. 64)
Unique sites:
Nd 0.0000 0.1543 0.0928 [8 per cell]
Co 0.0000 0.0000 0.5000 [4 per cell]
Co 0.2500 0.0882 0.7500 [8 per cell]

Main lines, most intense first (2θ from 10° to 90°):
| two_theta | intensity | (hkl) |
| --- | --- | --- |
| 34.42 | 100 | 1 3 1 |
| 31.08 | 71 | 1 1 2 |
| 39.70 | 54 | 0 2 3 |
| 42.90 | 42 | 2 2 1 |
| 44.14 | 25 | 2 0 2 |
| 54.71 | 21 | 1 5 2 |
| 37.46 | 19 | 0 4 1 |
| 23.39 | 18 | 1 1 1 |


TcRu: theoretical powder XRD pattern (Cu Kα, 1.54184 Å), based on the PBE geometry in Alexandria.
Kinematic intensities with the Lorentz-polarization factor, no thermal factor.

Atomic structure:
a = 2.7471 Å, b = 4.3445 Å, c = 4.7575 Å
α = 90.00°, β = 90.00°, γ = 90.00°
Space group Pmmn (No. 59, origin choice 2)
Unique sites:
Tc 0.2500 0.2500 0.0867 [2 per cell]
Ru 0.2500 0.7500 0.4194 [2 per cell]

Main lines, most intense first (2θ from 10° to 90°):
| two_theta | intensity | (hkl) |
| --- | --- | --- |
| 43.37 | 100 | 0 1 2 |
| 41.57 | 25 | 0 2 0 |
| 37.82 | 25 | 1 0 1 |
| 83.22 | 19 | 2 2 0 |
| 77.10 | 18 | 0 3 2 |
| 68.29 | 17 | 2 0 0 |
| 57.45 | 14 | 1 2 1 |
| 84.44 | 14 | 2 1 2 |


Co3GeH: theoretical powder XRD pattern (Cu Kα, 1.54184 Å), based on the PBE geometry in Alexandria.
Kinematic intensities with the Lorentz-polarization factor, no thermal factor.

Atomic structure:
a = 8.8700 Å, b = 5.0657 Å, c = 4.4521 Å
α = 90.00°, β = 108.61°, γ = 90.00°
Space group Cm (No. 8)
Unique sites:
Co 0.0000 0.0000 0.0000 [2 per cell]
Co 0.9996 0.2504 0.5249 [4 per cell]
Co 0.2530 0.2468 0.0019 [4 per cell]
Co 0.2585 0.5000 0.5127 [2 per cell]
Ge 0.0051 0.5000 0.0480 [2 per cell]
Ge 0.2389 0.0000 0.4896 [2 per cell]
H 0.1412 0.5000 0.7253 [2 per cell]
H 0.3765 0.5000 0.2534 [2 per cell]

Main lines, most intense first (2θ from 10° to 90°):
| two_theta | intensity | (hkl) |
| --- | --- | --- |
| 43.66 | 100 | 2 2 -1 |
| 50.36 | 64 | 2 2 1 |
| 43.04 | 52 | 4 0 0 |
| 42.87 | 51 | 0 0 2 |
| 50.59 | 31 | 4 0 -2 |
| 74.29 | 19 | 6 2 -1 |
| 74.05 | 17 | 2 2 -3 |
| 89.19 | 11 | 6 2 1 |


HoPd6Pt4: theoretical powder XRD pattern (Cu Kα, 1.54184 Å), based on the PBE geometry in Alexandria.
Kinematic intensities with the Lorentz-polarization factor, no thermal factor.

Atomic structure:
a = 4.5694 Å, b = 5.5433 Å, c = 14.8151 Å
α = 90.00°, β = 90.00°, γ = 90.00°
Space group Amm2 (No. 38)
Unique sites:
Ho 0.0000 0.0000 0.0000 [2 per cell]
Pd 0.0000 0.0000 0.4596 [2 per cell]
Pd 0.0000 0.2473 0.2951 [4 per cell]
Pd 0.5000 0.0000 0.7438 [2 per cell]
Pd 0.5000 0.2496 0.0852 [4 per cell]
Pt 0.0000 0.0000 0.6375 [2 per cell]
Pt 0.5000 0.0000 0.2431 [2 per cell]
Pt 0.5000 0.2492 0.4043 [4 per cell]

Main lines, most intense first (2θ from 10° to 90°):
| two_theta | intensity | (hkl) |
| --- | --- | --- |
| 39.94 | 100 | 1 2 2 |
| 41.57 | 89 | 1 0 6 |
| 39.44 | 71 | 2 0 0 |
| 45.44 | 54 | 1 2 4 |
| 40.66 | 27 | 0 2 4 |
| 82.58 | 25 | 1 4 6 |
| 31.14 | 24 | 1 0 4 |
| 57.93 | 19 | 2 2 4 |


ZrTlI6: theoretical powder XRD pattern (Cu Kα, 1.54184 Å), based on the PBE geometry in Alexandria.
Kinematic intensities with the Lorentz-polarization factor, no thermal factor.

Atomic structure:
a = 7.6479 Å, b = 7.6479 Å, c = 20.6917 Å
α = 90.00°, β = 90.00°, γ = 120.00°
Space group R-3 (No. 148, hexagonal axes)
Unique sites:
Zr 0.0000 0.0000 0.0000 [3 per cell]
Tl 0.0000 0.0000 0.5000 [3 per cell]
I 0.0112 0.3704 0.5883 [18 per cell]

Main lines, most intense first (2θ from 10° to 90°):
| two_theta | intensity | (hkl) |
| --- | --- | --- |
| 26.65 | 100 | 2 -1 3 |
| 35.04 | 52 | 1 1 6 |
| 40.88 | 35 | 3 0 0 |
| 15.89 | 33 | 0 1 2 |
| 21.80 | 20 | 1 0 4 |
| 46.07 | 20 | 1 1 9 |
| 49.47 | 14 | 2 2 3 |
| 69.12 | 13 | 0 3 12 |


La3Y2In3: theoretical powder XRD pattern (Cu Kα, 1.54184 Å), based on the PBE geometry in Alexandria.
Kinematic intensities with the Lorentz-polarization factor, no thermal factor.

Atomic structure:
a = 3.9109 Å, b = 5.5909 Å, c = 23.0049 Å
α = 90.00°, β = 90.00°, γ = 90.00°
Space group Immm (No. 71)
Unique sites:
La 0.0000 0.0000 0.0000 [2 per cell]
La 0.0000 0.5000 0.1223 [4 per cell]
Y 0.0000 0.0000 0.2345 [4 per cell]
In 0.0000 0.0000 0.5000 [2 per cell]
In 0.0000 0.5000 0.3754 [4 per cell]

Main lines, most intense first (2θ from 10° to 90°):
| two_theta | intensity | (hkl) |
| --- | --- | --- |
| 31.98 | 100 | 0 2 0 |
| 57.01 | 22 | 1 3 4 |
| 31.10 | 20 | 0 0 8 |
| 45.24 | 14 | 0 2 8 |
| 55.89 | 13 | 1 1 12 |
| 66.84 | 8 | 2 2 8 |
| 46.43 | 7 | 2 0 0 |
| 57.52 | 7 | 2 2 0 |


TbHoSc2: theoretical powder XRD pattern (Cu Kα, 1.54184 Å), based on the PBE geometry in Alexandria.
Kinematic intensities with the Lorentz-polarization factor, no thermal factor.

Atomic structure:
a = 3.4400 Å, b = 3.4400 Å, c = 32.6692 Å
α = 90.00°, β = 90.00°, γ = 120.00°
Space group R3m (No. 160, hexagonal axes)
Unique sites:
Tb 0.0000 0.0000 0.0000 [3 per cell]
Ho 0.0000 0.0000 0.1659 [3 per cell]
Sc 0.0000 0.0000 0.5826 [3 per cell]
Sc 0.0000 0.0000 0.7498 [3 per cell]

Main lines, most intense first (2θ from 10° to 90°):
| two_theta | intensity | (hkl) |
| --- | --- | --- |
| 33.05 | 100 | 0 1 5 |
| 35.76 | 83 | 1 0 7 |
| 16.28 | 79 | 0 0 6 |
| 64.06 | 55 | 1 1 12 |
| 30.12 | 48 | 1 0 1 |
| 32.90 | 47 | 0 0 12 |
| 30.50 | 37 | 0 1 2 |
| 53.26 | 36 | 1 1 0 |


Y2CdSe: theoretical powder XRD pattern (Cu Kα, 1.54184 Å), based on the PBE geometry in Alexandria.
Kinematic intensities with the Lorentz-polarization factor, no thermal factor.

Atomic structure:
a = 3.9686 Å, b = 3.9686 Å, c = 23.3530 Å
α = 90.00°, β = 90.00°, γ = 120.00°
Space group R-3m (No. 166, hexagonal axes)
Unique sites:
Y 0.0000 0.0000 0.2408 [6 per cell]
Cd 0.0000 0.0000 0.0000 [3 per cell]
Se 0.0000 0.0000 0.5000 [3 per cell]

Main lines, most intense first (2θ from 10° to 90°):
| two_theta | intensity | (hkl) |
| --- | --- | --- |
| 30.17 | 100 | 1 0 4 |
| 40.55 | 41 | 0 1 8 |
| 45.72 | 32 | 1 1 0 |
| 55.76 | 17 | 0 2 4 |
| 67.40 | 15 | 1 1 12 |
| 74.89 | 14 | 2 1 4 |
| 62.74 | 11 | 2 0 8 |
| 81.02 | 10 | 1 2 8 |


La6Pr3Sm2Mg: theoretical powder XRD pattern (Cu Kα, 1.54184 Å), based on the PBE geometry in Alexandria.
Kinematic intensities with the Lorentz-polarization factor, no thermal factor.

Atomic structure:
a = 6.3722 Å, b = 11.0733 Å, c = 12.1340 Å
α = 90.00°, β = 100.27°, γ = 90.00°
Space group C2/m (No. 12)
Unique sites:
La 0.2452 0.1648 0.2450 [8 per cell]
La 0.2484 0.0000 0.7536 [4 per cell]
Pr 0.0000 0.1679 0.5000 [4 per cell]
Pr 0.0000 0.5000 0.5000 [2 per cell]
Sm 0.0000 0.3333 0.0000 [4 per cell]
Mg 0.0000 0.0000 0.0000 [2 per cell]

Main lines, most intense first (2θ from 10° to 90°):
| two_theta | intensity | (hkl) |
| --- | --- | --- |
| 29.72 | 100 | 1 3 1 |
| 34.47 | 45 | 1 3 -3 |
| 29.94 | 32 | 0 0 4 |
| 58.86 | 24 | 4 0 0 |
| 49.75 | 23 | 2 0 -6 |
| 34.61 | 22 | 2 0 2 |
| 59.06 | 19 | 3 3 3 |
| 49.51 | 16 | 3 3 -1 |